# CuWO4
Theoretical powder X-ray diffraction pattern, a wavelength of 1.5418 Å. Input: a structure optimized by DFT (PBE+U).
Kinematic intensities with the Lorentz-polarization factor, no thermal factor.

Structure:
```
data_CuWO4
_cell_length_a 6.651
_cell_length_b 6.651
_cell_length_c 6.174
_cell_angle_alpha 90.00
_cell_angle_beta 90.00
_cell_angle_gamma 90.00
_space_group_name_H-M_alt 'I 41 m d'
_space_group_IT_number 109
_space_group_name_Hall 'I 4bw -2'
loop_
_atom_site_label
_atom_site_type_symbol
_atom_site_fract_x
_atom_site_fract_y
_atom_site_fract_z
Cu1 Cu 0.000 0.000 0.000
W1 W 0.000 0.000 0.475
O1 O 0.000 0.198 0.720
O2 O 0.000 0.202 0.262
```

Principal peaks in the range 10 to 90 degrees two-theta, in order of rising 2θ:
2θ 19.62, I = 45; 2θ 26.81, I = 100; 2θ 33.44, I = 20; 2θ 34.76, I = 80; 2θ 38.28, I = 23; 2θ 52.66, I = 64; 2θ 55.25, I = 17; 2θ 62.45, I = 16; 2θ 66.82, I = 14; 2θ 66.95, I = 18; 2θ 79.83, I = 13; 2θ 85.92, I = 8